Diffraction record for ZrCuPd5. The powder diffractogram is theoretical, not measured: it uses DFT lattice parameters and positions (GGA-PBE) and copper Kα.
Peak positions follow from Bragg's law for the DFT cell and can differ from measured ones.

Largest 6 diffraction maxima, in order of rising 2θ, 5 to 70 degrees two-theta:
31.2 deg, d = 2.863 Å, I 23, (0 0 2)
35.3 deg, d = 2.544 Å, I 27, (0 2 2)
38.9 deg, d = 2.316 Å, I 35, (3 0 1)
39.4 deg, d = 2.286 Å, I 64, (2 0 2)
40.3 deg, d = 2.238 Å, I 100, (2 4 0)
45.6 deg, d = 1.991 Å, I 48, (0 4 2)

Structural model:
Cell lengths 7.595, 11.078, 5.727 Å; angles 90.00, 90.00, 90.00 degrees
Space group Imma (No. 74)
Symmetry-distinct sites (fractional):
Zr: 0.000 0.250 0.226 x4
Cu: 0.000 0.000 0.000 x4
Pd: 0.000 0.250 0.783 x4
Pd: 0.215 0.120 0.501 x16

Diffraction record for VCuSb. The powder diffractogram is theoretical, not measured: it uses DFT lattice parameters and positions (GGA-PBE) and copper Kα.
Peak positions follow from Bragg's law for the DFT cell and can differ from measured ones.

Largest 6 diffraction maxima, in order of rising 2θ, 5 to 70 degrees two-theta:
23.1 deg, d = 3.856 Å, I 24, (2 0 -1)
28.0 deg, d = 3.182 Å, I 50, (1 1 0)
39.8 deg, d = 2.263 Å, I 100, (1 1 2)
41.7 deg, d = 2.165 Å, I 97, (3 1 -1)
43.8 deg, d = 2.068 Å, I 38, (4 0 1)
44.2 deg, d = 2.049 Å, I 35, (2 0 -3)

Structural model:
Cell lengths 8.973, 3.405, 6.652 Å; angles 90.00, 94.68, 90.00 degrees
Space group C2/m (No. 12)
Symmetry-distinct sites (fractional):
V: 0.150 0.000 0.442 x4
Cu: 0.200 0.500 0.130 x4
Sb: 0.075 0.500 0.747 x4

Diffraction record for CsInSi. The powder diffractogram is theoretical, not measured: it uses DFT lattice parameters and positions (GGA-PBE) and copper Kα.
Peak positions follow from Bragg's law for the DFT cell and can differ from measured ones.

Largest 6 diffraction maxima, in order of rising 2θ, 5 to 70 degrees two-theta:
28.9 deg, d = 3.093 Å, I 58, (2 1 1)
29.8 deg, d = 2.997 Å, I 100, (1 1 2)
32.1 deg, d = 2.790 Å, I 41, (3 0 1)
35.5 deg, d = 2.527 Å, I 33, (0 2 0)
45.9 deg, d = 1.977 Å, I 22, (4 1 1)
48.6 deg, d = 1.873 Å, I 25, (3 2 1)

Structural model:
Cell lengths 8.904, 5.054, 8.194 Å; angles 90.00, 90.00, 90.00 degrees
Space group Pnma (No. 62)
Symmetry-distinct sites (fractional):
Cs: 0.007 0.250 0.160 x4
In: 0.154 0.250 0.586 x4
Si: 0.165 0.750 0.402 x4

Diffraction record for TmSc4Cd5. The powder diffractogram is theoretical, not measured: it uses DFT lattice parameters and positions (GGA-PBE) and copper Kα.
Peak positions follow from Bragg's law for the DFT cell and can differ from measured ones.

Largest 6 diffraction maxima, in order of rising 2θ, 5 to 70 degrees two-theta:
24.9 deg, d = 3.569 Å, I 7, (1 0 0)
35.6 deg, d = 2.524 Å, I 100, (1 1 0)
51.1 deg, d = 1.788 Å, I 5, (0 0 10)
51.2 deg, d = 1.783 Å, I 12, (2 0 0)
63.8 deg, d = 1.459 Å, I 10, (1 1 10)
63.9 deg, d = 1.456 Å, I 22, (2 1 5)

Structural model:
Cell lengths 3.566, 3.566, 17.881 Å; angles 90.00, 90.00, 90.00 degrees
Space group P4/mmm (No. 123)
Symmetry-distinct sites (fractional):
Tm: 0.000 0.000 0.000 x1
Sc: 0.000 0.000 0.206 x2
Sc: 0.000 0.000 0.402 x2
Cd: 0.500 0.500 0.109 x2
Cd: 0.500 0.500 0.304 x2
Cd: 0.500 0.500 0.500 x1

Diffraction record for Pm4Nd3Sm. The powder diffractogram is theoretical, not measured: it uses DFT lattice parameters and positions (GGA-PBE) and copper Kα.
Peak positions follow from Bragg's law for the DFT cell and can differ from measured ones.

Largest 6 diffraction maxima, in order of rising 2θ, 5 to 70 degrees two-theta:
27.9 deg, d = 3.196 Å, I 23, (0 2 1)
30.2 deg, d = 2.963 Å, I 26, (4 0 0)
31.8 deg, d = 2.813 Å, I 100, (2 0 2)
49.4 deg, d = 1.845 Å, I 20, (0 4 0)
54.6 deg, d = 1.680 Å, I 22, (6 0 2)
59.0 deg, d = 1.566 Å, I 23, (4 4 0)

Structural model:
Cell lengths 11.851, 7.387, 6.389 Å; angles 90.00, 90.00, 90.00 degrees
Space group Pmn2_1 (No. 31)
Symmetry-distinct sites (fractional):
Pm: 0.000 0.124 0.000 x2
Pm: 0.000 0.875 0.499 x2
Pm: 0.249 0.875 0.832 x4
Nd: 0.000 0.374 0.499 x2
Nd: 0.250 0.375 0.832 x4
Sm: 0.000 0.626 0.999 x2

Diffraction record for MnCr3Ni12. The powder diffractogram is theoretical, not measured: it uses DFT lattice parameters and positions (GGA-PBE) and copper Kα.
Peak positions follow from Bragg's law for the DFT cell and can differ from measured ones.

Largest 5 diffraction maxima, in order of rising 2θ, 5 to 70 degrees two-theta:
25.1 deg, d = 3.551 Å, I 1, (1 0 0)
35.8 deg, d = 2.511 Å, I 1, (1 1 0)
44.2 deg, d = 2.050 Å, I 100, (1 1 4)
51.3 deg, d = 1.779 Å, I 15, (0 0 8)
51.5 deg, d = 1.774 Å, I 31, (2 0 0)

Structural model:
Cell lengths 3.548, 3.548, 14.235 Å; angles 90.00, 90.00, 90.00 degrees
Space group P4/mmm (No. 123)
Symmetry-distinct sites (fractional):
Mn: 0.000 0.000 0.000 x1
Cr: 0.000 0.000 0.249 x2
Cr: 0.000 0.000 0.500 x1
Ni: 0.000 0.500 0.127 x4
Ni: 0.000 0.500 0.375 x4
Ni: 0.500 0.500 0.000 x1
Ni: 0.500 0.500 0.251 x2
Ni: 0.500 0.500 0.500 x1

Diffraction record for Zr3PSe3. The powder diffractogram is theoretical, not measured: it uses DFT lattice parameters and positions (GGA-PBE) and copper Kα.
Peak positions follow from Bragg's law for the DFT cell and can differ from measured ones.

Largest 6 diffraction maxima, in order of rising 2θ, 5 to 70 degrees two-theta:
33.0 deg, d = 2.711 Å, I 100, (2 1 0)
33.6 deg, d = 2.670 Å, I 49, (0 0 4)
47.5 deg, d = 1.912 Å, I 34, (2 1 -4)
47.7 deg, d = 1.905 Å, I 19, (0 2 0)
48.1 deg, d = 1.893 Å, I 33, (2 1 4)
59.6 deg, d = 1.551 Å, I 18, (0 2 4)

Structural model:
Cell lengths 7.718, 3.810, 10.683 Å; angles 90.00, 90.84, 90.00 degrees
Space group P2_1/m (No. 11)
Symmetry-distinct sites (fractional):
Zr: 0.106 0.250 0.120 x2
Zr: 0.118 0.250 0.637 x2
Zr: 0.341 0.750 0.875 x2
P: 0.119 0.250 0.878 x2
Se: 0.142 0.250 0.378 x2
Se: 0.365 0.750 0.625 x2
Se: 0.383 0.750 0.135 x2

Diffraction record for Dy3Ho4Tm8. The powder diffractogram is theoretical, not measured: it uses DFT lattice parameters and positions (GGA-PBE) and copper Kα.
Peak positions follow from Bragg's law for the DFT cell and can differ from measured ones.

Largest 6 diffraction maxima, in order of rising 2θ, 5 to 70 degrees two-theta:
28.0 deg, d = 3.187 Å, I 37, (0 4 0)
31.3 deg, d = 2.861 Å, I 100, (4 0 -2)
31.4 deg, d = 2.845 Å, I 48, (4 0 0)
32.2 deg, d = 2.783 Å, I 30, (2 4 -1)
42.5 deg, d = 2.129 Å, I 47, (4 4 -2)
67.3 deg, d = 1.391 Å, I 31, (4 8 -2)

Structural model:
Cell lengths 13.164, 12.748, 6.618 Å; angles 90.00, 120.17, 90.00 degrees
Space group C2/m (No. 12)
Symmetry-distinct sites (fractional):
Dy: 0.000 0.000 0.000 x2
Dy: 0.250 0.250 0.000 x4
Ho: 0.000 0.500 0.000 x2
Ho: 0.000 0.500 0.500 x2
Ho: 0.250 0.250 0.500 x4
Tm: 0.000 0.139 0.500 x4
Tm: 0.000 0.248 0.000 x4
Tm: 0.234 0.000 0.494 x4
Tm: 0.234 0.000 0.973 x4

Diffraction record for BaAgP. The powder diffractogram is theoretical, not measured: it uses DFT lattice parameters and positions (GGA-PBE) and copper Kα.
Peak positions follow from Bragg's law for the DFT cell and can differ from measured ones.

Largest 6 diffraction maxima, in order of rising 2θ, 5 to 70 degrees two-theta:
28.8 deg, d = 3.098 Å, I 100, (2 1 0)
31.6 deg, d = 2.828 Å, I 57, (2 1 1)
39.0 deg, d = 2.309 Å, I 21, (2 2 1)
49.2 deg, d = 1.851 Å, I 47, (3 1 2)
54.6 deg, d = 1.680 Å, I 17, (4 1 0)
69.2 deg, d = 1.358 Å, I 15, (4 3 1)

Structural model:
Cell lengths 6.927, 6.927, 6.927 Å; angles 90.00, 90.00, 90.00 degrees
Space group P2_13 (No. 198)
Symmetry-distinct sites (fractional):
Ba: 0.170 0.170 0.170 x4
Ag: 0.151 0.349 0.651 x4
P: 0.060 0.560 0.940 x4

Diffraction record for CuAgHPd. The powder diffractogram is theoretical, not measured: it uses DFT lattice parameters and positions (GGA-PBE) and copper Kα.
Peak positions follow from Bragg's law for the DFT cell and can differ from measured ones.

Largest 6 diffraction maxima, in order of rising 2θ, 5 to 70 degrees two-theta:
38.9 deg, d = 2.317 Å, I 100, (1 1 1)
39.0 deg, d = 2.308 Å, I 99, (1 1 -2)
45.1 deg, d = 2.010 Å, I 64, (0 2 0)
45.6 deg, d = 1.989 Å, I 33, (2 0 -1)
65.7 deg, d = 1.421 Å, I 18, (0 2 3)
66.1 deg, d = 1.414 Å, I 20, (2 2 -1)

Structural model:
Cell lengths 3.979, 4.018, 6.340 Å; angles 90.00, 107.95, 90.00 degrees
Space group Cm (No. 8)
Symmetry-distinct sites (fractional):
Cu: 0.000 0.000 0.000 x2
Ag: 0.153 0.500 0.310 x2
H: 0.345 0.500 0.692 x2
Pd: 0.343 0.000 0.687 x2

Diffraction record for Pm12ErTm5. The powder diffractogram is theoretical, not measured: it uses DFT lattice parameters and positions (GGA-PBE) and copper Kα.
Peak positions follow from Bragg's law for the DFT cell and can differ from measured ones.

Largest 6 diffraction maxima, in order of rising 2θ, 5 to 70 degrees two-theta:
29.9 deg, d = 2.991 Å, I 30, (0 6 0)
30.3 deg, d = 2.952 Å, I 29, (0 0 2)
32.0 deg, d = 2.796 Å, I 100, (3 3 1)
43.1 deg, d = 2.101 Å, I 22, (0 6 2)
54.4 deg, d = 1.687 Å, I 22, (3 9 1)
54.9 deg, d = 1.672 Å, I 22, (3 3 3)

Structural model:
Cell lengths 11.234, 17.946, 5.903 Å; angles 90.00, 90.01, 90.00 degrees
Space group C2/m (No. 12)
Symmetry-distinct sites (fractional):
Pm: 0.160 0.168 0.002 x8
Pm: 0.161 0.333 0.498 x8
Pm: 0.162 0.000 0.497 x4
Pm: 0.162 0.500 0.003 x4
Er: 0.000 0.000 0.000 x2
Tm: 0.000 0.166 0.500 x4
Tm: 0.000 0.334 0.000 x4
Tm: 0.000 0.500 0.500 x2

Diffraction record for Mn2NiPt5. The powder diffractogram is theoretical, not measured: it uses DFT lattice parameters and positions (GGA-PBE) and copper Kα.
Peak positions follow from Bragg's law for the DFT cell and can differ from measured ones.

Largest 6 diffraction maxima, in order of rising 2θ, 5 to 70 degrees two-theta:
22.9 deg, d = 3.890 Å, I 12, (1 2 0)
40.2 deg, d = 2.242 Å, I 100, (0 4 1)
46.7 deg, d = 1.945 Å, I 32, (2 4 0)
47.0 deg, d = 1.934 Å, I 16, (0 0 2)
68.2 deg, d = 1.375 Å, I 10, (0 8 0)
68.4 deg, d = 1.372 Å, I 21, (2 4 2)

Structural model:
Cell lengths 5.505, 10.995, 3.869 Å; angles 90.00, 90.00, 90.00 degrees
Space group Pbam (No. 55)
Symmetry-distinct sites (fractional):
Mn: 0.246 0.124 0.000 x4
Ni: 0.000 0.500 0.500 x2
Pt: 0.000 0.000 0.500 x2
Pt: 0.010 0.746 0.500 x4
Pt: 0.238 0.380 0.000 x4

Diffraction record for Li8AgPd6. The powder diffractogram is theoretical, not measured: it uses DFT lattice parameters and positions (GGA-PBE) and copper Kα.
Peak positions follow from Bragg's law for the DFT cell and can differ from measured ones.

Largest 6 diffraction maxima, in order of rising 2θ, 5 to 70 degrees two-theta:
20.8 deg, d = 4.270 Å, I 100, (2 0 0)
27.6 deg, d = 3.228 Å, I 82, (1 2 0)
33.3 deg, d = 2.687 Å, I 38, (0 1 1)
38.0 deg, d = 2.369 Å, I 51, (3 1 0)
42.5 deg, d = 2.128 Å, I 84, (2 1 1)
48.9 deg, d = 1.864 Å, I 42, (1 4 0)

Structural model:
Cell lengths 9.8618, 9.8618, 2.8312 Å; angles 90.00, 90.00, 120.00 degrees
Space group P-3 (No. 147)
Symmetry-distinct sites (fractional):
Li: 0.0815 0.7586 0.2939 x6
Li: 0.3333 0.6667 0.7409 x2
Ag: 0.0000 0.0000 0.0000 x1
Pd: 0.1099 0.4872 0.2387 x6